No. 1
Diffraction record for Cs2CuCBr6. The powder XRD pattern is simulated, not measured: it uses the GGA-PBE geometry in Alexandria and Cu Kα X-rays.
Intensities are scaled so that the largest is 100.

Crystal structure
Lattice parameters (Å, degrees): 7.335 7.335 7.335 119.75 119.75 90.43
Fractional positions:
Cs  0.250  0.750  0.500
Cs  0.750  0.250  0.500
Cu  0.000  0.000  0.000
C  0.500  0.500  0.000
Br  0.253  0.253  0.000
Br  0.256  0.256  0.511
Br  0.256  0.744  0.000
Br  0.744  0.256  0.000
Br  0.744  0.744  0.489
Br  0.747  0.747  0.000

Most intense lines, 2θ = 15–90°, by angle:
- 3.672 Å, rel. 18
- 2.998 Å, rel. 100
- 2.603 Å, rel. 52
- 2.583 Å, rel. 25
- 1.841 Å, rel. 18
- 1.834 Å, rel. 35
- 1.569 Å, rel. 28
- 1.560 Å, rel. 14
- 1.499 Å, rel. 18
- 1.190 Å, rel. 12

---

No. 2
Diffraction record for Cs2CSBr6. The powder XRD pattern is simulated, not measured: it uses the GGA-PBE geometry in Alexandria and Cu Kα X-rays.
Intensities are scaled so that the largest is 100.

Crystal structure
Lattice parameters (Å, degrees): 7.496 7.496 7.496 121.73 121.73 87.04
Fractional positions:
Cs  0.250  0.750  0.500
Cs  0.750  0.250  0.500
C  0.000  0.000  0.000
S  0.500  0.500  0.000
Br  0.227  0.227  0.000
Br  0.243  0.243  0.486
Br  0.243  0.757  0.000
Br  0.757  0.243  0.000
Br  0.757  0.757  0.514
Br  0.773  0.773  0.000

Most intense lines, 2θ = 15–90°, by angle:
- 3.743 Å, rel. 8
- 3.030 Å, rel. 100
- 2.718 Å, rel. 22
- 2.581 Å, rel. 41
- 1.872 Å, rel. 29
- 1.825 Å, rel. 14
- 1.623 Å, rel. 13
- 1.563 Å, rel. 27
- 1.515 Å, rel. 14
- 1.213 Å, rel. 10